For Sr2PrOsSe6, DFT lattice parameters and positions (PBE) gives the simulated X-ray powder pattern in this record (Cu Kα, 1.54184 Å).
Neutral-atom scattering factors, no anomalous dispersion.

Largest 8 diffraction maxima, by angle, 2θ = 10–90°:
16.9 deg, I = 63, hkl 1 1 -1; 23.7 deg, I = 60, hkl 1 1 1; 24.8 deg, I = 55, hkl 3 1 -1; 34.2 deg, I = 100, hkl 2 2 -2; 35.0 deg, I = 26, hkl 4 0 0; 43.0 deg, I = 31, hkl 5 1 -3; 43.1 deg, I = 49, hkl 4 2 0; 49.9 deg, I = 23, hkl 0 4 0

Atomic structure:
a = 12.346 Å, b = 7.308 Å, c = 7.548 Å
α = 90.00°, β = 123.86°, γ = 90.00°
Space group C2/m (No. 12)
Unique sites:
Sr1 0.242 0.000 0.224 [4 per cell]
Pr1 0.000 0.000 0.500 [2 per cell]
Os1 0.000 0.500 0.000 [2 per cell]
Se1 0.065 0.261 0.838 [8 per cell]
Se2 0.226 0.500 0.340 [4 per cell]